Starting from a crystal structure in Alexandria, relaxed with GGA+U, the XRD peak list of MnAs3O9 was simulated for Cu Kα X-rays.

Structure:
a = 6.8192 Å, b = 6.8192 Å, c = 7.4495 Å
α = 90.00°, β = 90.00°, γ = 93.77°
Fractional coordinates of all 26 atoms:
Mn1 0.1870 0.1870 0.0000
Mn2 0.8130 0.8130 0.5000
As1 0.2553 0.2553 0.5000
As2 0.2814 0.6895 0.9638
As3 0.3105 0.7186 0.5362
As4 0.6895 0.2814 0.0362
As5 0.7186 0.3105 0.4638
As6 0.7447 0.7447 0.0000
O1 0.1090 0.8493 0.5438
O2 0.1393 0.2384 0.6979
O3 0.1507 0.8910 0.9562
O4 0.1665 0.4758 0.0379
O5 0.2384 0.1393 0.3021
O6 0.2577 0.5053 0.4126
O7 0.3717 0.6283 0.7500
O8 0.4758 0.1665 0.9621
O9 0.4947 0.7423 0.0874
O10 0.5053 0.2577 0.5874
O11 0.5242 0.8335 0.4621
O12 0.6283 0.3717 0.2500
O13 0.7423 0.4947 0.9126
O14 0.7616 0.8607 0.8021
O15 0.8335 0.5242 0.5379
O16 0.8493 0.1090 0.4562
O17 0.8607 0.7616 0.1979
O18 0.8910 0.1507 0.0438

Peak list (8 most intense, 2θ = 10–90°, sorted by position)
| d/Å | I_rel |
| --- | --- |
| 5.024 | 15 |
| 3.725 | 87 |
| 3.402 | 100 |
| 3.126 | 32 |
| 2.756 | 15 |
| 2.512 | 59 |
| 2.331 | 20 |
| 1.634 | 17 |